Entry 1:
Theoretical powder diffraction line list of V4O9 for Cu Kα X-rays, from a structure optimized by DFT (PBE+U).

Most intense lines, 10° ≤ 2θ ≤ 80°, by angle:
2θ (°)  Rel. int.
17.66  100
20.92  25
29.49  91
33.36  55
43.19  29
47.90  39

```
V4O9
1.0
8.493 0.000 0.000
0.000 8.493 0.000
0.000 0.000 5.021
V O
8 18
Direct
0.032 0.657 0.116
0.157 0.968 0.884
0.343 0.532 0.884
0.468 0.843 0.116
0.532 0.157 0.884
0.657 0.468 0.116
0.843 0.032 0.116
0.968 0.343 0.884
0.014 0.670 0.434
0.037 0.144 0.013
0.144 0.463 0.013
0.170 0.986 0.566
0.250 0.750 0.000
0.330 0.514 0.566
0.356 0.037 0.013
0.463 0.356 0.013
0.486 0.830 0.434
0.514 0.170 0.566
0.537 0.644 0.987
0.644 0.963 0.987
0.670 0.486 0.434
0.750 0.250 0.000
0.830 0.014 0.434
0.856 0.537 0.987
0.963 0.856 0.987
0.986 0.330 0.566
```

Entry 2:
Theoretical powder diffraction line list of Li4CoNi5O12 for Cu Kα X-rays, from a structure optimized by DFT (PBE+U).

Most intense lines, 10° ≤ 2θ ≤ 80°, by angle:
2θ (°)  Rel. int.
17.82  100
37.41  15
37.60  15
40.58  11
45.53  16
46.03  16

```
Li4CoNi5O12
1.0
2.513 -4.256 0.000
2.513 4.256 0.000
-0.220 0.000 9.957
Li Co Ni O
4 1 5 12
Direct
0.150 0.665 0.748
0.335 0.850 0.252
0.665 0.150 0.748
0.850 0.335 0.252
0.000 0.000 0.500
0.166 0.834 0.000
0.337 0.663 0.500
0.500 0.500 0.000
0.663 0.337 0.500
0.834 0.166 0.000
0.016 0.680 0.396
0.173 0.173 0.901
0.176 0.528 0.104
0.320 0.984 0.604
0.326 0.326 0.405
0.472 0.824 0.896
0.528 0.176 0.104
0.674 0.674 0.595
0.680 0.016 0.396
0.824 0.472 0.896
0.827 0.827 0.099
0.984 0.320 0.604
```

Entry 3:
Theoretical powder diffraction line list of SrFe2P4O14 for Cu Kα X-rays, from a structure optimized by DFT (PBE+U).

Most intense lines, 10° ≤ 2θ ≤ 80°, by angle:
2θ (°)  Rel. int.
23.01  67
26.08  48
28.03  42
28.32  41
29.30  100
30.49  54

```
SrFe2P4O14
1.0
4.870 0.000 0.000
2.111 6.885 0.000
0.361 -0.059 7.971
Sr Fe P O
1 2 4 14
Direct
0.000 0.000 0.000
0.000 0.000 0.500
0.500 0.500 0.000
0.031 0.380 0.245
0.384 0.229 0.703
0.616 0.771 0.297
0.969 0.620 0.755
0.086 0.196 0.347
0.117 0.650 0.917
0.183 0.098 0.709
0.193 0.446 0.652
0.307 0.433 0.205
0.379 0.821 0.432
0.492 0.240 0.883
0.508 0.760 0.117
0.621 0.179 0.568
0.693 0.567 0.795
0.807 0.554 0.348
0.817 0.902 0.291
0.883 0.350 0.083
0.914 0.804 0.653
```

Entry 4:
Theoretical powder diffraction line list of NdMoO2 for Cu Kα X-rays, from a structure optimized by DFT (PBE+U).

Most intense lines, 10° ≤ 2θ ≤ 80°, by angle:
2θ (°)  Rel. int.
29.20  42
31.32  100
39.45  45
49.83  37
53.13  30
66.51  24

```
NdMoO2
1.0
-3.230 3.230 6.116
3.230 -3.230 6.116
3.230 3.230 -6.116
Nd Mo O
4 4 8
Direct
0.000 0.000 0.000
0.000 0.000 0.500
0.000 0.500 0.000
0.500 0.000 0.500
0.000 0.500 0.500
0.500 0.000 0.000
0.500 0.500 0.000
0.500 0.500 0.500
0.202 0.230 0.527
0.202 0.675 0.973
0.230 0.202 0.027
0.325 0.798 0.527
0.675 0.202 0.473
0.770 0.798 0.973
0.798 0.325 0.027
0.798 0.770 0.473
```

Entry 5:
Theoretical powder diffraction line list of Li3MnB2O6 for Cu Kα X-rays, from a structure optimized by DFT (PBE+U).

Most intense lines, 10° ≤ 2θ ≤ 80°, by angle:
2θ (°)  Rel. int.
14.19  50
16.94  96
18.25  66
21.12  100
23.86  91
30.51  69

```
Li3MnB2O6
1.0
5.881 0.000 0.000
0.000 8.058 0.000
-5.052 0.000 9.861
Li Mn B O
12 4 8 24
Direct
0.056 0.218 0.089
0.056 0.282 0.589
0.264 0.561 0.130
0.264 0.939 0.630
0.384 0.725 0.399
0.384 0.775 0.899
0.616 0.225 0.101
0.616 0.275 0.601
0.736 0.061 0.370
0.736 0.439 0.870
0.944 0.718 0.411
0.944 0.782 0.911
0.088 0.111 0.847
0.088 0.389 0.347
0.912 0.611 0.653
0.912 0.889 0.153
0.188 0.060 0.392
0.188 0.440 0.892
0.385 0.613 0.639
0.385 0.887 0.139
0.615 0.113 0.861
0.615 0.387 0.361
0.812 0.560 0.108
0.812 0.940 0.608
0.097 0.086 0.253
0.097 0.414 0.753
0.187 0.591 0.944
0.187 0.909 0.444
0.249 0.558 0.509
0.249 0.942 0.009
0.254 0.205 0.472
0.254 0.295 0.972
0.259 0.707 0.697
0.259 0.793 0.197
0.356 0.084 0.783
0.356 0.416 0.283
0.644 0.584 0.717
0.644 0.916 0.217
0.741 0.207 0.803
0.741 0.293 0.303
0.746 0.705 0.028
0.746 0.795 0.528
0.751 0.058 0.991
0.751 0.442 0.491
0.813 0.091 0.556
0.813 0.409 0.056
0.903 0.586 0.247
0.903 0.914 0.747
```

Entry 6:
Theoretical powder diffraction line list of Li2MnF4 for Cu Kα X-rays, from a structure optimized by DFT (PBE+U).

Most intense lines, 10° ≤ 2θ ≤ 80°, by angle:
2θ (°)  Rel. int.
17.88  64
26.34  100
33.55  85
35.82  71
36.21  60
60.63  93

```
Li2MnF4
1.0
-3.030 6.154 4.321
3.030 -6.154 4.321
3.030 6.154 -4.321
Li Mn F
8 4 16
Direct
0.000 0.000 0.000
0.255 0.005 0.250
0.387 0.000 0.887
0.387 0.500 0.387
0.500 0.000 0.500
0.613 0.000 0.113
0.613 0.500 0.613
0.745 0.995 0.750
0.010 0.622 0.388
0.266 0.378 0.888
0.734 0.622 0.112
0.990 0.378 0.612
0.008 0.758 0.250
0.134 0.238 0.352
0.134 0.782 0.896
0.255 0.238 0.017
0.279 0.762 0.517
0.386 0.238 0.604
0.386 0.782 0.148
0.487 0.237 0.250
0.513 0.763 0.750
0.614 0.218 0.852
0.614 0.762 0.396
0.721 0.238 0.483
0.745 0.762 0.983
0.866 0.218 0.104
0.866 0.762 0.648
0.992 0.242 0.750
```

Entry 7:
Theoretical powder diffraction line list of Sr5La2Mn8O18F6 for Cu Kα X-rays, from a structure optimized by DFT (PBE+U).

Most intense lines, 10° ≤ 2θ ≤ 80°, by angle:
2θ (°)  Rel. int.
31.42  24
31.76  25
32.34  100
45.29  40
47.46  16
56.95  19

```
Sr5La2Mn8O18F6
1.0
5.634 0.000 0.000
0.011 5.694 0.000
0.009 0.013 15.327
Sr La Mn O F
5 2 8 18 6
Direct
0.000 0.000 0.000
0.000 0.002 0.500
0.010 0.993 0.751
0.010 0.994 0.251
0.501 0.492 0.001
0.501 0.499 0.746
0.532 0.498 0.254
0.007 0.500 0.382
0.008 0.499 0.620
0.017 0.487 0.874
0.491 0.009 0.874
0.502 0.995 0.381
0.509 0.995 0.621
0.519 0.009 0.127
0.996 0.487 0.127
0.001 0.549 0.750
0.010 0.434 0.501
0.011 0.447 0.001
0.233 0.769 0.381
0.256 0.747 0.884
0.262 0.252 0.647
0.262 0.256 0.858
0.277 0.270 0.145
0.502 0.045 0.001
0.505 0.057 0.501
0.506 0.930 0.750
0.509 0.931 0.252
0.743 0.736 0.116
0.746 0.257 0.858
0.761 0.240 0.357
0.761 0.245 0.141
0.768 0.758 0.620
0.987 0.550 0.252
0.243 0.761 0.113
0.252 0.755 0.613
0.262 0.255 0.354
0.747 0.741 0.391
0.754 0.748 0.890
0.761 0.243 0.645
```

Entry 8:
Theoretical powder diffraction line list of CoAuO2 for Cu Kα X-rays, from a structure optimized by DFT (PBE+U).

Most intense lines, 10° ≤ 2θ ≤ 80°, by angle:
2θ (°)  Rel. int.
14.41  54
29.06  54
35.83  40
36.84  100
40.68  57
53.81  39

```
CoAuO2
1.0
2.921 0.000 0.000
-1.461 2.530 0.000
0.000 0.000 18.437
Co Au O
3 3 6
Direct
0.000 0.000 0.000
0.333 0.667 0.667
0.667 0.333 0.333
0.000 0.000 0.500
0.333 0.667 0.167
0.667 0.333 0.833
0.000 0.000 0.385
0.000 0.000 0.615
0.333 0.667 0.052
0.333 0.667 0.282
0.667 0.333 0.718
0.667 0.333 0.948
```